For NdEuB12, a cell relaxed with PBE gives the calculated powder diffraction line list in this record (λ = 1.5418 Å (Cu Kα)).
Peak positions follow from Bragg's law for the DFT cell and can differ from measured ones.

Largest 10 diffraction maxima, sorted by position, 2θ = 10–90°:
d (Å)	Position (°2θ)	intensity	index
4.148	21.42	65.4	2 0 0
2.933	30.48	100.0	2 2 0
2.395	37.56	41.9	2 2 2
2.074	43.64	21.3	4 0 0
1.855	49.11	49.6	4 2 0
1.693	54.16	27.6	4 2 2
1.383	67.77	27.9	4 4 2
1.312	71.99	19.8	6 2 0
1.251	76.11	12.9	6 2 2
1.109	88.12	17.9	6 4 2

Atomic structure:
```
data_NdEuB12
_space_group_name_H-M_alt 'F m -3 m'
_space_group_IT_number 225
_space_group_name_Hall '-F 4 2 3'
_cell_length_a 8.2960
_cell_length_b 8.2960
_cell_length_c 8.2960
_cell_angle_alpha 90.00
_cell_angle_beta 90.00
_cell_angle_gamma 90.00
loop_
_atom_site_label
_atom_site_fract_x
_atom_site_fract_y
_atom_site_fract_z
Nd1 0.0000 0.0000 0.0000
Eu1 0.0000 0.0000 0.5000
B1 0.1003 0.2500 0.2500
```